(1)
Structure and computed X-ray diffraction stick pattern of PmTa2CdO8 (DFT lattice parameters and positions (PBE); Cu Kα).
Lines closer than 0.1° are merged.

Top 8 peaks for 10° ≤ 2θ ≤ 80°, by intensity:
h k l  two_theta  intensity
1 1 2  28.54  100
2 0 4  47.07  31
1 3 2  57.02  28
2 0 0  33.60  22
1 1 6  54.90  16
2 2 0  48.26  15
0 0 4  31.98  13
3 1 6  76.06  13

abc: 5.334 5.334 11.195
angles: 90.00 90.00 90.00
Space group I-4 (No. 82)
One atom of each set of equivalent atoms:
Pm: 0.000 0.000 0.000 x2
Ta: 0.000 0.000 0.500 x2
Ta: 0.000 0.500 0.250 x2
Cd: 0.000 0.500 0.750 x2
O: 0.176 0.740 0.158 x8
O: 0.178 0.241 0.591 x8



(2)
Structure and computed X-ray diffraction stick pattern of K3Hf2CuS6 (DFT lattice parameters and positions (PBE); Cu Kα).
Lines closer than 0.1° are merged.

Top 8 peaks for 10° ≤ 2θ ≤ 80°, by intensity:
h k l  two_theta  intensity
0 0 1  12.18  100
1 3 1  31.46  83
2 0 -2  32.09  39
1 3 -3  42.99  28
1 3 -1  28.08  26
3 3 -1  48.01  25
0 0 2  24.50  23
1 3 0  27.11  18

abc: 6.523 11.597 7.570
angles: 90.00 106.26 90.00
Space group C2/m (No. 12)
One atom of each set of equivalent atoms:
K: 0.000 0.000 0.000 x2
K: 0.000 0.342 0.000 x4
Hf: 0.000 0.168 0.500 x4
Cu: 0.000 0.500 0.500 x2
S: 0.227 0.000 0.682 x4
S: 0.240 0.323 0.697 x8



(3)
Structure and computed X-ray diffraction stick pattern of Pr8Cd3Co2 (DFT lattice parameters and positions (PBE); Cu Kα).
Lines closer than 0.1° are merged.

Top 8 peaks for 10° ≤ 2θ ≤ 80°, by intensity:
h k l  two_theta  intensity
2 2 -1  28.88  100
2 0 2  31.91  59
4 2 1  36.93  27
5 1 0  29.79  27
3 1 -2  32.43  21
4 0 -2  32.68  21
3 1 1  26.12  19
5 1 -1  30.96  17

abc: 16.599 7.489 6.440
angles: 90.00 99.63 90.00
Space group C2/m (No. 12)
One atom of each set of equivalent atoms:
Pr: 0.084 0.000 0.293 x4
Pr: 0.151 0.248 0.862 x8
Pr: 0.190 0.500 0.383 x4
Cd: 0.000 0.320 0.500 x4
Cd: 0.000 0.500 0.000 x2
Co: 0.232 0.000 0.171 x4